Theoretical PXRD pattern
Compound: HoNiO3
Radiation: Cu Kα
Structure: a GGA+U-relaxed structure
No peak broadening, texture or thermal motion is included.

Atomic structure:
Lattice parameters (Å, degrees): 5.6583 7.4074 5.1842 90.00 90.00 90.00
Space group Pnma (No. 62)
Inequivalent atoms, fractional coordinates:
Ho: 0.0823 0.2500 0.0229
Ni: 0.0000 0.0000 0.5000
O: 0.0327 0.7500 0.3910
O: 0.1881 0.5528 0.8039

The 8 most intense peaks (10° ≤ 2θ ≤ 90°), in order of falling intensity:
| two_theta | I/Imax | (hkl) |
| --- | --- | --- |
| 33.7 | 100 | 1 2 1 |
| 49.2 | 33 | 0 4 0 |
| 26.2 | 33 | 1 1 1 |
| 61.4 | 28 | 1 2 3 |
| 34.6 | 26 | 0 0 2 |
| 53.1 | 22 | 3 1 1 |
| 33.9 | 22 | 2 1 0 |
| 31.6 | 16 | 2 0 0 |